Theoretical powder XRD pattern of TiAlAu2 for λ = 1.5418 Å (Cu Kα), from a PBE-relaxed structure.

Peak list (10 most intense, 2θ from 10° to 90°, sorted by position)
| 2theta | d_spacing | I/Imax |
| --- | --- | --- |
| 25.13 | 3.543 | 34 |
| 28.90 | 3.090 | 50 |
| 38.66 | 2.329 | 100 |
| 41.33 | 2.185 | 42 |
| 48.98 | 1.860 | 24 |
| 59.87 | 1.545 | 14 |
| 60.21 | 1.537 | 12 |
| 68.14 | 1.376 | 18 |
| 73.57 | 1.287 | 32 |
| 82.92 | 1.164 | 11 |

Cell lengths 3.0896, 3.0896, 7.0869 Å; angles 90.00, 90.00, 90.00 degrees
Sites, in units of the cell vectors:
Ti 0.0000 0.0000 0.0000
Al 0.0000 0.0000 0.5000
Au 0.5000 0.5000 0.2615
Au 0.5000 0.5000 0.7385

Theoretical powder XRD pattern of TmAl7Au3 for λ = 1.5418 Å (Cu Kα), from a PBE-relaxed structure.

Peak list (10 most intense, 2θ from 10° to 90°, sorted by position)
| 2theta | d_spacing | I/Imax |
| --- | --- | --- |
| 25.31 | 3.519 | 11 |
| 25.42 | 3.503 | 100 |
| 33.78 | 2.653 | 41 |
| 38.60 | 2.332 | 43 |
| 44.67 | 2.029 | 35 |
| 46.77 | 1.942 | 48 |
| 62.22 | 1.492 | 20 |
| 66.58 | 1.405 | 20 |
| 66.79 | 1.401 | 14 |
| 74.09 | 1.280 | 12 |

Cell lengths 8.4432, 8.4432, 8.4432 Å; angles 57.17, 57.17, 57.17 degrees
Sites, in units of the cell vectors:
Tm 0.0000 0.0000 0.0000
Tm 0.5000 0.5000 0.5000
Al 0.0698 0.8528 0.6669
Al 0.1472 0.3331 0.9302
Al 0.1669 0.3528 0.5698
Al 0.2500 0.2500 0.2500
Al 0.3331 0.9302 0.1472
Al 0.3528 0.5698 0.1669
Al 0.4302 0.8331 0.6472
Al 0.5698 0.1669 0.3528
Al 0.6472 0.4302 0.8331
Al 0.6669 0.0698 0.8528
Al 0.7500 0.7500 0.7500
Al 0.8331 0.6472 0.4302
Al 0.8528 0.6669 0.0698
Al 0.9302 0.1472 0.3331
Au 0.0749 0.7500 0.4251
Au 0.2500 0.5749 0.9251
Au 0.4251 0.0749 0.7500
Au 0.5749 0.9251 0.2500
Au 0.7500 0.4251 0.0749
Au 0.9251 0.2500 0.5749

Theoretical powder XRD pattern of AlV9Au2 for λ = 1.5418 Å (Cu Kα), from a PBE-relaxed structure.

Peak list (10 most intense, 2θ from 10° to 90°, sorted by position)
| 2theta | d_spacing | I/Imax |
| --- | --- | --- |
| 18.28 | 4.853 | 22 |
| 25.97 | 3.431 | 50 |
| 31.94 | 2.802 | 9 |
| 37.05 | 2.426 | 46 |
| 41.62 | 2.170 | 47 |
| 45.80 | 1.981 | 100 |
| 53.40 | 1.716 | 8 |
| 60.31 | 1.535 | 11 |
| 69.89 | 1.346 | 9 |
| 72.94 | 1.297 | 49 |

Cell lengths 4.8502, 4.8572, 14.5515 Å; angles 90.00, 90.00, 90.00 degrees
Sites, in units of the cell vectors:
Al 0.0000 0.0000 0.1657
Al 0.0000 0.0000 0.8343
V 0.0000 0.2461 0.0000
V 0.0000 0.2476 0.3293
V 0.0000 0.2476 0.6707
V 0.0000 0.7524 0.3293
V 0.0000 0.7524 0.6707
V 0.0000 0.7539 0.0000
V 0.2431 0.5000 0.1665
V 0.2431 0.5000 0.8335
V 0.2525 0.5000 0.5000
V 0.5000 0.0000 0.0823
V 0.5000 0.0000 0.2500
V 0.5000 0.0000 0.4201
V 0.5000 0.0000 0.5799
V 0.5000 0.0000 0.7500
V 0.5000 0.0000 0.9177
V 0.7475 0.5000 0.5000
V 0.7569 0.5000 0.1665
V 0.7569 0.5000 0.8335
Au 0.0000 0.0000 0.5000
Au 0.5000 0.5000 0.0000
Au 0.5000 0.5000 0.3335
Au 0.5000 0.5000 0.6665

Theoretical powder XRD pattern of YAlAu2 for λ = 1.5418 Å (Cu Kα), from a PBE-relaxed structure.

Peak list (10 most intense, 2θ from 10° to 90°, sorted by position)
| 2theta | d_spacing | I/Imax |
| --- | --- | --- |
| 22.53 | 3.947 | 4 |
| 26.07 | 3.418 | 36 |
| 37.20 | 2.417 | 100 |
| 43.93 | 2.061 | 2 |
| 45.99 | 1.973 | 11 |
| 53.63 | 1.709 | 18 |
| 60.57 | 1.529 | 15 |
| 67.07 | 1.395 | 36 |
| 79.28 | 1.208 | 11 |
| 85.16 | 1.139 | 8 |

Cell lengths 6.8361, 6.8361, 6.8361 Å; angles 90.00, 90.00, 90.00 degrees
Sites, in units of the cell vectors:
Y 0.0000 0.0000 0.0000
Y 0.0000 0.5000 0.5000
Y 0.5000 0.0000 0.5000
Y 0.5000 0.5000 0.0000
Al 0.0000 0.0000 0.5000
Al 0.0000 0.5000 0.0000
Al 0.5000 0.0000 0.0000
Al 0.5000 0.5000 0.5000
Au 0.2500 0.2500 0.2500
Au 0.2500 0.2500 0.7500
Au 0.2500 0.7500 0.2500
Au 0.2500 0.7500 0.7500
Au 0.7500 0.2500 0.2500
Au 0.7500 0.2500 0.7500
Au 0.7500 0.7500 0.2500
Au 0.7500 0.7500 0.7500

Theoretical powder XRD pattern of Zr3AlAu2 for λ = 1.5418 Å (Cu Kα), from a PBE-relaxed structure.

Peak list (10 most intense, 2θ from 10° to 90°, sorted by position)
| 2theta | d_spacing | I/Imax |
| --- | --- | --- |
| 12.32 | 7.184 | 17 |
| 24.78 | 3.592 | 34 |
| 35.34 | 2.540 | 20 |
| 37.56 | 2.395 | 100 |
| 41.03 | 2.200 | 19 |
| 43.64 | 2.074 | 20 |
| 56.83 | 1.620 | 11 |
| 63.43 | 1.467 | 27 |
| 69.19 | 1.358 | 14 |
| 76.11 | 1.251 | 19 |

Cell lengths 8.7992, 8.7992, 8.7992 Å; angles 60.00, 60.00, 60.00 degrees
Sites, in units of the cell vectors:
Zr 0.0720 0.0720 0.6780
Zr 0.0720 0.6780 0.0720
Zr 0.0720 0.6780 0.6780
Zr 0.3220 0.3220 0.9280
Zr 0.3220 0.9280 0.3220
Zr 0.3220 0.9280 0.9280
Zr 0.6780 0.0720 0.0720
Zr 0.6780 0.0720 0.6780
Zr 0.6780 0.6780 0.0720
Zr 0.9280 0.3220 0.3220
Zr 0.9280 0.3220 0.9280
Zr 0.9280 0.9280 0.3220
Al 0.0000 0.5000 0.5000
Al 0.5000 0.0000 0.5000
Al 0.5000 0.5000 0.0000
Al 0.5000 0.5000 0.5000
Au 0.2879 0.2879 0.2879
Au 0.2879 0.2879 0.6364
Au 0.2879 0.6364 0.2879
Au 0.3636 0.7121 0.7121
Au 0.6364 0.2879 0.2879
Au 0.7121 0.3636 0.7121
Au 0.7121 0.7121 0.3636
Au 0.7121 0.7121 0.7121

Theoretical powder XRD pattern of ZrAlAu2 for λ = 1.5418 Å (Cu Kα), from a PBE-relaxed structure.

Peak list (10 most intense, 2θ from 10° to 90°, sorted by position)
| 2theta | d_spacing | I/Imax |
| --- | --- | --- |
| 25.04 | 3.556 | 18 |
| 27.89 | 3.199 | 35 |
| 30.64 | 2.918 | 15 |
| 37.82 | 2.379 | 100 |
| 39.85 | 2.262 | 49 |
| 47.64 | 1.909 | 14 |
| 56.20 | 1.637 | 11 |
| 57.62 | 1.600 | 17 |
| 66.93 | 1.398 | 13 |
| 71.02 | 1.327 | 37 |

Cell lengths 3.1993, 3.1993, 7.1127 Å; angles 90.00, 90.00, 90.00 degrees
Sites, in units of the cell vectors:
Zr 0.0000 0.0000 0.0000
Al 0.0000 0.0000 0.5000
Au 0.5000 0.5000 0.2806
Au 0.5000 0.5000 0.7194